Record 1
Diffraction record for CsSrAl2F8. The powder diffractogram is calculated, not measured: it uses the GGA-PBE geometry in Alexandria and Cu Kα X-rays.
Kinematic intensities with the Lorentz-polarization factor, no thermal factor.

Top 10 peaks for 5° ≤ 2θ ≤ 70°, by intensity:
d/Å	Position (°2θ)	intensity
4.030	22.06	1000
2.831	31.60	287
2.427	37.04	281
2.868	31.19	223
4.633	19.15	190
1.793	50.93	166
1.811	50.38	159
2.317	38.87	119
2.712	33.03	110
2.015	44.99	108

Atomic structure:
```
12
Lattice="2.8315 1.6348 9.4266 -2.8315 1.6348 9.4266 0.0000 -3.2695 9.4266" Properties=species:S:1:pos:R:3 pbc="T T T"
Cs 0.0000 0.0000 0.0000
Sr 0.0000 0.0000 14.1399
Al 0.0000 0.0000 6.9190
Al 0.0000 0.0000 21.3608
F -1.2049 -1.3701 12.4289
F -1.7890 0.3584 15.8509
F 0.0000 0.0000 8.6281
F 0.5841 -1.7285 15.8509
F -0.5841 1.7285 12.4289
F 0.0000 0.0000 19.6517
F 1.7890 -0.3584 12.4289
F 1.2049 1.3701 15.8509
```



Record 2
Diffraction record for CsSr2AlF8. The powder diffractogram is calculated, not measured: it uses the GGA-PBE geometry in Alexandria and Cu Kα X-rays.
Kinematic intensities with the Lorentz-polarization factor, no thermal factor.

Top 10 peaks for 5° ≤ 2θ ≤ 70°, by intensity:
d/Å	Position (°2θ)	intensity
4.002	22.21	1000
3.476	25.62	970
3.310	26.94	902
3.606	24.69	544
3.976	22.36	520
2.254	40.01	514
2.994	29.84	501
2.612	34.33	472
2.622	34.20	465
2.260	39.90	459

Atomic structure:
```
12
Lattice="5.3385 0.0000 0.0000 1.0975 5.2468 0.0000 0.6524 2.3579 7.1970" Properties=species:S:1:pos:R:3 pbc="T T T"
Cs 0.0000 0.0000 0.0000
Sr 3.0808 2.6371 1.9982
Sr 4.0076 4.9675 5.1988
Al 0.3262 1.1789 3.5985
F 0.5696 2.1348 2.0601
F 2.4160 4.9661 2.9674
F 1.8705 1.8574 4.2707
F 3.2820 3.8096 7.1411
F 3.8064 3.7951 0.0559
F 5.2179 5.7472 2.9263
F 4.6724 2.6385 4.2297
F 6.5188 5.4699 5.1369
```